1.
Ac3CuS6: computed X-ray diffraction stick pattern (Cu Kα X-rays), based on a structure optimized by DFT (PBE).

Atomic structure:
```
data_Ac3CuS6
_chemical_formula_sum 'Ac12 Cu4 S24'
_cell_length_a 11.470
_cell_length_b 14.185
_cell_length_c 6.966
_cell_angle_alpha 90.00
_cell_angle_beta 90.00
_cell_angle_gamma 90.00
_space_group_name_H-M_alt 'C m c 21'
_space_group_IT_number 36
_space_group_name_Hall 'C 2c -2'
loop_
_atom_site_label
_atom_site_type_symbol
_atom_site_fract_x
_atom_site_fract_y
_atom_site_fract_z
Ac1 Ac 0.000 0.109 0.000
Ac2 Ac 0.185 0.396 0.056
Cu1 Cu 0.000 0.308 0.600
S1 S 0.000 0.287 0.274
S2 S 0.000 0.457 0.745
S3 S 0.155 0.243 0.760
S4 S 0.159 0.016 0.281
```

The 6 most intense peaks (2θ = 15–90°), by intensity:
| d [Å] | Rel. int. |
| --- | --- |
| 3.756 | 100 |
| 3.699 | 67 |
| 2.533 | 38 |
| 2.485 | 37 |
| 2.278 | 31 |
| 5.490 | 26 |

2.
InGaS2: computed X-ray diffraction stick pattern (Cu Kα X-rays), based on a structure optimized by DFT (PBE).

Atomic structure:
```
data_InGaS2
_chemical_formula_sum 'In4 Ga4 S8'
_cell_length_a 7.977
_cell_length_b 7.977
_cell_length_c 5.999
_cell_angle_alpha 90.00
_cell_angle_beta 90.00
_cell_angle_gamma 90.00
_space_group_name_H-M_alt 'I 4 c m'
_space_group_IT_number 108
_space_group_name_Hall 'I 4 -2c'
loop_
_atom_site_label
_atom_site_type_symbol
_atom_site_fract_x
_atom_site_fract_y
_atom_site_fract_z
In1 In 0.000 0.000 0.000
Ga1 Ga 0.000 0.500 0.251
S1 S 0.155 0.345 0.001
```

The 6 most intense peaks (2θ = 15–90°), by intensity:
| d [Å] | Rel. int. |
| --- | --- |
| 1.931 | 100 |
| 3.988 | 99 |
| 2.648 | 73 |
| 2.820 | 60 |
| 1.784 | 33 |
| 1.387 | 22 |

3.
BeGa2O4: computed X-ray diffraction stick pattern (Cu Kα X-rays), based on a structure optimized by DFT (PBE).

Atomic structure:
```
data_BeGa2O4
_chemical_formula_sum 'Be6 Ga12 O24'
_cell_length_a 7.8401
_cell_length_b 7.8401
_cell_length_c 9.0235
_cell_angle_alpha 90.00
_cell_angle_beta 90.00
_cell_angle_gamma 120.00
_space_group_name_H-M_alt 'P 32'
_space_group_IT_number 145
_space_group_name_Hall 'P 32'
loop_
_atom_site_label
_atom_site_type_symbol
_atom_site_fract_x
_atom_site_fract_y
_atom_site_fract_z
Be1 Be 0.0613 0.5596 0.0000
Be2 Be 0.2746 0.1114 0.8248
Ga1 Ga 0.0754 0.5813 0.3190
Ga2 Ga 0.0794 0.5631 0.6660
Ga3 Ga 0.2464 0.0774 0.1606
Ga4 Ga 0.2622 0.1069 0.5061
O1 O 0.0116 0.6590 0.4990
O2 O 0.0293 0.0060 0.8282
O3 O 0.3053 0.6538 0.9978
O4 O 0.3364 0.0282 0.6766
O5 O 0.3407 0.0269 0.3349
O6 O 0.3447 0.0538 0.9806
O7 O 0.3611 0.3533 0.8116
O8 O 0.3871 0.3801 0.5095
```

The 6 most intense peaks (2θ = 15–90°), by intensity:
| d [Å] | Rel. int. |
| --- | --- |
| 2.566 | 100 |
| 2.750 | 87 |
| 3.395 | 64 |
| 1.808 | 42 |
| 2.251 | 40 |
| 1.383 | 37 |

4.
Na2LiVS4: computed X-ray diffraction stick pattern (Cu Kα X-rays), based on a structure optimized by DFT (PBE).

Atomic structure:
```
data_Na2LiVS4
_chemical_formula_sum 'Na4 Li2 V2 S8'
_cell_length_a 7.936
_cell_length_b 6.660
_cell_length_c 7.003
_cell_angle_alpha 90.00
_cell_angle_beta 90.00
_cell_angle_gamma 90.00
_space_group_name_H-M_alt 'P m n 21'
_space_group_IT_number 31
_space_group_name_Hall 'P 2ac -2'
loop_
_atom_site_label
_atom_site_type_symbol
_atom_site_fract_x
_atom_site_fract_y
_atom_site_fract_z
Na1 Na 0.249 0.204 0.000
Li1 Li 0.000 0.773 0.069
V1 V 0.000 0.208 0.572
S1 S 0.000 0.077 0.286
S2 S 0.000 0.958 0.769
S3 S 0.223 0.385 0.620
```

The 6 most intense peaks (2θ = 15–90°), by intensity:
| d [Å] | Rel. int. |
| --- | --- |
| 3.409 | 100 |
| 5.251 | 86 |
| 5.102 | 77 |
| 3.065 | 72 |
| 2.397 | 64 |
| 1.867 | 53 |

5.
LiAlZn: computed X-ray diffraction stick pattern (Cu Kα X-rays), based on a structure optimized by DFT (PBE).

Atomic structure:
```
data_LiAlZn
_chemical_formula_sum 'Li2 Al2 Zn2'
_cell_length_a 2.852
_cell_length_b 4.039
_cell_length_c 8.033
_cell_angle_alpha 90.00
_cell_angle_beta 90.00
_cell_angle_gamma 90.00
_space_group_name_H-M_alt 'I m m 2'
_space_group_IT_number 44
_space_group_name_Hall 'I 2 -2'
loop_
_atom_site_label
_atom_site_type_symbol
_atom_site_fract_x
_atom_site_fract_y
_atom_site_fract_z
Li1 Li 0.000 0.000 0.000
Al1 Al 0.000 0.000 0.332
Zn1 Zn 0.000 0.000 0.667
```

The 6 most intense peaks (2θ = 15–90°), by intensity:
| d [Å] | Rel. int. |
| --- | --- |
| 3.608 | 100 |
| 2.330 | 97 |
| 2.232 | 85 |
| 4.016 | 68 |
| 1.952 | 56 |
| 2.688 | 46 |

6.
CdCoSb2: computed X-ray diffraction stick pattern (Cu Kα X-rays), based on a structure optimized by DFT (PBE).

Atomic structure:
```
data_CdCoSb2
_chemical_formula_sum 'Cd4 Co4 Sb8'
_cell_length_a 6.191
_cell_length_b 6.191
_cell_length_c 11.861
_cell_angle_alpha 90.00
_cell_angle_beta 90.00
_cell_angle_gamma 90.00
_space_group_name_H-M_alt 'I -4 2 d'
_space_group_IT_number 122
_space_group_name_Hall 'I -4 2bw'
loop_
_atom_site_label
_atom_site_type_symbol
_atom_site_fract_x
_atom_site_fract_y
_atom_site_fract_z
Cd1 Cd 0.000 0.000 0.000
Co1 Co 0.000 0.000 0.500
Sb1 Sb 0.179 0.250 0.625
```

The 6 most intense peaks (2θ = 15–90°), by intensity:
| d [Å] | Rel. int. |
| --- | --- |
| 3.522 | 100 |
| 2.141 | 44 |
| 2.696 | 21 |
| 1.859 | 20 |
| 2.189 | 18 |
| 1.802 | 18 |

Please write out number 1 again, unchanged.
Ac3CuS6: computed X-ray diffraction stick pattern (Cu Kα X-rays), based on a structure optimized by DFT (PBE).

Atomic structure:
```
data_Ac3CuS6
_chemical_formula_sum 'Ac12 Cu4 S24'
_cell_length_a 11.470
_cell_length_b 14.185
_cell_length_c 6.966
_cell_angle_alpha 90.00
_cell_angle_beta 90.00
_cell_angle_gamma 90.00
_space_group_name_H-M_alt 'C m c 21'
_space_group_IT_number 36
_space_group_name_Hall 'C 2c -2'
loop_
_atom_site_label
_atom_site_type_symbol
_atom_site_fract_x
_atom_site_fract_y
_atom_site_fract_z
Ac1 Ac 0.000 0.109 0.000
Ac2 Ac 0.185 0.396 0.056
Cu1 Cu 0.000 0.308 0.600
S1 S 0.000 0.287 0.274
S2 S 0.000 0.457 0.745
S3 S 0.155 0.243 0.760
S4 S 0.159 0.016 0.281
```

The 6 most intense peaks (2θ = 15–90°), by intensity:
| d [Å] | Rel. int. |
| --- | --- |
| 3.756 | 100 |
| 3.699 | 67 |
| 2.533 | 38 |
| 2.485 | 37 |
| 2.278 | 31 |
| 5.490 | 26 |